Record 1
PmYBiAs: calculated X-ray powder pattern (λ = 1.5418 Å (Cu Kα)), based on a structure optimized by DFT (PBE).

Crystal structure
```
data_PmYBiAs
_symmetry_space_group_name_H-M 'R 3 m'
_symmetry_Int_Tables_number 160
_symmetry_space_group_name_Hall 'R 3 -2"'
_cell_length_a 4.3212
_cell_length_b 4.3212
_cell_length_c 21.6277
_cell_angle_alpha 90.00
_cell_angle_beta 90.00
_cell_angle_gamma 120.00
loop_
_atom_site_label
_atom_site_type_symbol
_atom_site_fract_x
_atom_site_fract_y
_atom_site_fract_z
_atom_site_occupancy
Pm1 Pm 0.0000 0.0000 0.0000 1
Y1 Y 0.0000 0.0000 0.5155 1
Bi1 Bi 0.0000 0.0000 0.7600 1
As1 As 0.0000 0.0000 0.2558 1
```

Most intense lines, 2θ from 10° to 90°, by angle:
2θ/deg	Rel. int.	index
12.28	9	0 0 3
24.14	13	1 0 1
29.02	100	1 0 4
31.61	12	0 1 5
41.19	37	0 1 8
41.81	38	1 1 0
51.70	20	0 2 4
57.35	7	1 1 9
60.14	12	2 0 8
67.70	15	1 1 12
68.58	17	2 1 4
75.92	12	1 2 8

***

Record 2
Pr2BiAs: calculated X-ray powder pattern (λ = 1.5418 Å (Cu Kα)), based on a structure optimized by DFT (PBE).

Crystal structure
```
data_Pr2BiAs
_symmetry_space_group_name_H-M 'R 3 m'
_symmetry_Int_Tables_number 160
_symmetry_space_group_name_Hall 'R 3 -2"'
_cell_length_a 4.4128
_cell_length_b 4.4128
_cell_length_c 22.8692
_cell_angle_alpha 90.00
_cell_angle_beta 90.00
_cell_angle_gamma 120.00
loop_
_atom_site_label
_atom_site_type_symbol
_atom_site_fract_x
_atom_site_fract_y
_atom_site_fract_z
_atom_site_occupancy
Pr1 Pr 0.0000 0.0000 0.0000 1
Pr2 Pr 0.0000 0.0000 0.1844 1
Bi1 Bi 0.0000 0.0000 0.4248 1
As1 As 0.0000 0.0000 0.5936 1
```

Most intense lines, 2θ from 10° to 90°, by angle:
2θ/deg	Rel. int.	index
23.60	27	1 0 1
24.56	27	0 1 2
28.09	40	1 0 4
30.48	100	0 1 5
36.17	40	1 0 7
40.90	60	1 1 0
46.26	12	1 0 10
51.86	23	2 0 5
55.13	11	1 1 9
55.73	12	0 2 7
64.63	28	1 1 12
68.07	20	1 2 5